Record 1
This entry pairs a crystal structure of Sm2ThCo3 with its simulated powder X-ray diffraction pattern. Radiation: Cu Ka. Structure: a crystal structure in Alexandria, relaxed with GGA-PBE.

```
data_Sm2ThCo3
_chemical_formula_sum 'Sm4 Th2 Co6'
_symmetry_space_group_name_H-M 'P 1'
_symmetry_Int_Tables_number 1
_cell_length_a 7.494
_cell_length_b 7.494
_cell_length_c 5.222
_cell_angle_alpha 90.00
_cell_angle_beta 90.00
_cell_angle_gamma 59.90
loop_
_symmetry_equiv_pos_as_xyz
'x,y,z'
loop_
_atom_site_label
_atom_site_type_symbol
_atom_site_fract_x
_atom_site_fract_y
_atom_site_fract_z
_atom_site_occupancy
Sm1 Sm 0.007 0.333 0.250 1
Sm2 Sm 0.333 0.007 0.750 1
Sm3 Sm 0.667 0.993 0.250 1
Sm4 Sm 0.993 0.667 0.750 1
Th1 Th 0.327 0.673 0.250 1
Th2 Th 0.673 0.327 0.750 1
Co1 Co 0.000 0.000 0.000 1
Co2 Co 0.000 0.000 0.500 1
Co3 Co 0.344 0.344 0.000 1
Co4 Co 0.344 0.344 0.500 1
Co5 Co 0.656 0.656 0.000 1
Co6 Co 0.656 0.656 0.500 1
```

The 10 most intense peaks (5° ≤ 2θ ≤ 70°), low angle first:
- 29.35°, intensity 1000
- 34.34°, intensity 61
- 41.77°, intensity 466
- 42.19°, intensity 364
- 51.87°, intensity 207
- 55.15°, intensity 103
- 58.47°, intensity 146
- 60.88°, intensity 116
- 68.67°, intensity 119
- 68.76°, intensity 58

=====

Record 2
This entry pairs a crystal structure of Ni3TeC with its simulated powder X-ray diffraction pattern. Radiation: Cu Ka. Structure: a crystal structure in Alexandria, relaxed with GGA-PBE.

```
data_Ni3TeC
_chemical_formula_sum 'Ni3 Te1 C1'
_symmetry_space_group_name_H-M 'P 1'
_symmetry_Int_Tables_number 1
_cell_length_a 3.946
_cell_length_b 3.946
_cell_length_c 3.946
_cell_angle_alpha 90.00
_cell_angle_beta 90.00
_cell_angle_gamma 90.00
loop_
_symmetry_equiv_pos_as_xyz
'x,y,z'
loop_
_atom_site_label
_atom_site_type_symbol
_atom_site_fract_x
_atom_site_fract_y
_atom_site_fract_z
_atom_site_occupancy
Ni1 Ni 0.000 0.000 0.500 1
Ni2 Ni 0.000 0.500 0.000 1
Ni3 Ni 0.500 0.000 0.000 1
Te1 Te 0.500 0.500 0.500 1
C1 C 0.000 0.000 0.000 1
```

The 7 most intense peaks (5° ≤ 2θ ≤ 70°), low angle first:
- 22.53°, intensity 71
- 32.08°, intensity 133
- 39.56°, intensity 1000
- 46.00°, intensity 542
- 51.81°, intensity 37
- 57.19°, intensity 50
- 67.09°, intensity 328